No. 1
# ZnTe
Theoretical X-ray diffraction stick pattern, Cu Kα (weighted mean of Kα1 and Kα2). Input: DFT lattice parameters and positions (PBE).

Atomic structure:
```
ZnTe
1.0
4.365 0.000 0.000
0.000 13.477 0.000
0.000 0.000 6.561
Zn Te
6 6
direct
0.250 0.106 0.071 Zn
0.250 0.394 0.071 Zn
0.250 0.750 0.422 Zn
0.750 0.250 0.578 Zn
0.750 0.606 0.929 Zn
0.750 0.894 0.929 Zn
0.250 0.250 0.346 Te
0.250 0.595 0.164 Te
0.250 0.905 0.164 Te
0.750 0.095 0.836 Te
0.750 0.405 0.836 Te
0.750 0.750 0.654 Te
```

Most intense lines, 2θ = 15–90°, sorted by position:
18.88 deg, d 4.701, rel. 49; 24.01 deg, d 3.707, rel. 30; 24.49 deg, d 3.634, rel. 100; 29.81 deg, d 2.997, rel. 42; 36.78 deg, d 2.444, rel. 32; 39.80 deg, d 2.265, rel. 26; 40.15 deg, d 2.246, rel. 21; 41.36 deg, d 2.183, rel. 26; 43.74 deg, d 2.070, rel. 49; 47.59 deg, d 1.911, rel. 26



No. 2
# Tb2Y3TmSb6
Theoretical X-ray diffraction stick pattern, Cu Kα (weighted mean of Kα1 and Kα2). Input: DFT lattice parameters and positions (PBE).

Atomic structure:
```
Tb2Y3TmSb6
1.0
3.799 -6.580 0.000
3.799 6.580 0.000
-2.531 0.000 7.160
Tb Y Tm Sb
2 3 1 6
direct
0.166 0.834 0.000 Tb
0.834 0.166 0.000 Tb
0.000 0.000 0.500 Y
0.332 0.668 0.500 Y
0.668 0.332 0.500 Y
0.500 0.500 0.000 Tm
0.086 0.417 0.751 Sb
0.253 0.253 0.250 Sb
0.417 0.086 0.751 Sb
0.583 0.914 0.249 Sb
0.747 0.747 0.750 Sb
0.914 0.583 0.249 Sb
```

Most intense lines, 2θ = 15–90°, sorted by position:
23.78 deg, d 3.741, rel. 3; 28.79 deg, d 3.101, rel. 100; 31.43 deg, d 2.846, rel. 1; 41.16 deg, d 2.193, rel. 76; 43.13 deg, d 2.097, rel. 1; 51.00 deg, d 1.791, rel. 27; 59.62 deg, d 1.551, rel. 12; 67.53 deg, d 1.387, rel. 34; 75.01 deg, d 1.266, rel. 25; 89.35 deg, d 1.097, rel. 8